# RbCaVTePdF
Theoretical powder X-ray diffraction pattern, Cu Kα (weighted mean of Kα1 and Kα2). Input: a cell relaxed with PBE+U.
No peak broadening, texture or thermal motion is included.

Top 10 peaks for 10 to 90 degrees two-theta, sorted by position:
2θ (°), I/Imax, index
26.28, 70, 1 0 1
29.80, 100, 0 1 2
34.95, 78, 0 1 3
41.21, 20, 1 0 4
44.04, 55, 1 1 0
48.26, 20, 1 0 5
54.08, 18, 2 0 2
55.61, 19, 1 1 4
57.42, 18, 2 0 3
75.09, 16, 1 2 3

Cell and atoms:
Cell lengths 4.1121, 4.1121, 11.1149 Å; angles 90.00, 90.00, 120.00 degrees
Sites, in units of the cell vectors:
Rb 0.0000 0.0000 0.0000
Ca 0.3333 0.6667 0.3542
V 0.0000 0.0000 0.6755
Te 0.6667 0.3333 0.5309
Pd 0.3333 0.6667 0.7952
F 0.0000 0.0000 0.2640